This entry pairs a crystal structure of Mg3P2O8 with its calculated powder diffractogram. Radiation: Cu Kα X-rays. Structure: a PBE-relaxed structure.
Kinematic intensities with the Lorentz-polarization factor, no thermal factor.

```
Mg3P2O8
1.0
5.983 0.000 0.000
0.000 4.791 0.000
-0.056 0.000 10.329
Mg P O
6 4 16
Direct
0.000 0.000 0.000 Mg
0.000 0.500 0.500 Mg
0.262 0.011 0.722 Mg
0.262 0.489 0.222 Mg
0.738 0.511 0.778 Mg
0.738 0.989 0.278 Mg
0.243 0.574 0.902 P
0.243 0.926 0.402 P
0.757 0.074 0.598 P
0.757 0.426 0.098 P
0.033 0.730 0.839 O
0.033 0.770 0.339 O
0.223 0.246 0.395 O
0.223 0.254 0.895 O
0.243 0.685 0.043 O
0.243 0.815 0.543 O
0.439 0.688 0.821 O
0.439 0.812 0.321 O
0.561 0.188 0.679 O
0.561 0.312 0.179 O
0.757 0.185 0.457 O
0.757 0.315 0.957 O
0.777 0.746 0.105 O
0.777 0.754 0.605 O
0.967 0.230 0.661 O
0.967 0.270 0.161 O
```

Principal peaks in the range 2θ = 10–90°, most intense first:
| 2θ/deg | I/Imax | h k l |
| --- | --- | --- |
| 22.8 | 1000 | 1 0 2 |
| 36.5 | 657 | 2 1 -1 |
| 20.4 | 575 | 0 1 1 |
| 35.4 | 525 | 1 1 -3 |
| 25.4 | 365 | 1 1 1 |
| 29.9 | 364 | 2 0 0 |
| 32.0 | 356 | 0 1 3 |
| 39.6 | 329 | 0 1 4 |
| 62.1 | 316 | 4 0 0 |
| 14.8 | 267 | 1 0 0 |
| 41.5 | 254 | 1 2 1 |
| 52.1 | 250 | 2 2 2 |